# 1
Starting from a DFT-relaxed cell (GGA+U, the Materials Project), the XRD peak list of MnPO4 was computed for copper Kα.
Kinematic intensities with the Lorentz-polarization factor, no thermal factor.

Crystal structure
a = 8.6260 Å, b = 8.6260 Å, c = 8.6260 Å
α = 59.66°, β = 59.66°, γ = 59.66°
Element x y z (fractional)
Mn  0.0000  0.0000  0.0000
Mn  0.1438  0.1438  0.1438
Mn  0.3562  0.3562  0.3562
Mn  0.5000  0.5000  0.5000
Mn  0.6438  0.6438  0.6438
Mn  0.8562  0.8562  0.8562
P  0.0402  0.7500  0.4598
P  0.2500  0.5402  0.9598
P  0.4598  0.0402  0.7500
P  0.5402  0.9598  0.2500
P  0.7500  0.4598  0.0402
P  0.9598  0.2500  0.5402
O  0.0117  0.8014  0.6199
O  0.0563  0.9165  0.2639
O  0.0835  0.7361  0.9437
O  0.1199  0.3014  0.5117
O  0.1986  0.3801  0.9883
O  0.2361  0.5835  0.4437
O  0.2639  0.0563  0.9165
O  0.3014  0.5117  0.1199
O  0.3801  0.9883  0.1986
O  0.4165  0.5563  0.7639
O  0.4437  0.2361  0.5835
O  0.4883  0.8801  0.6986
O  0.5117  0.1199  0.3014
O  0.5563  0.7639  0.4165
O  0.5835  0.4437  0.2361
O  0.6199  0.0117  0.8014
O  0.6986  0.4883  0.8801
O  0.7361  0.9437  0.0835
O  0.7639  0.4165  0.5563
O  0.8014  0.6199  0.0117
O  0.8801  0.6986  0.4883
O  0.9165  0.2639  0.0563
O  0.9437  0.0835  0.7361
O  0.9883  0.1986  0.3801

Largest 10 diffraction maxima, in order of falling intensity, 2θ from 15° to 90°:
2θ (°)	I_rel
24.27	100
20.70	80
32.85	69
36.26	36
47.17	30
49.74	28
56.76	25
63.08	18
32.14	17
25.40	14

=====

# 2
Starting from a DFT-relaxed cell (GGA+U, the Materials Project), the XRD peak list of MnP2O8 was computed for copper Kα.
Kinematic intensities with the Lorentz-polarization factor, no thermal factor.

Crystal structure
a = 5.1327 Å, b = 5.1327 Å, c = 13.5467 Å
α = 103.90°, β = 103.90°, γ = 57.21°
Element x y z (fractional)
Mn  0.0000  0.0000  0.0000
Mn  0.0000  0.0000  0.5000
P  0.3379  0.4011  0.6100
P  0.4011  0.3379  0.1100
P  0.5989  0.6621  0.8900
P  0.6621  0.5989  0.3900
O  0.1081  0.2861  0.5933
O  0.1566  0.7572  0.6106
O  0.2247  0.5905  0.0408
O  0.2428  0.8434  0.8894
O  0.2861  0.1081  0.0933
O  0.3456  0.4822  0.2303
O  0.4095  0.7753  0.4592
O  0.4822  0.3456  0.7303
O  0.5178  0.6544  0.2697
O  0.5905  0.2247  0.5408
O  0.6544  0.5178  0.7697
O  0.7139  0.8919  0.9067
O  0.7572  0.1566  0.1106
O  0.7753  0.4095  0.9592
O  0.8434  0.2428  0.3894
O  0.8919  0.7139  0.4067

Largest 10 diffraction maxima, in order of falling intensity, 2θ from 15° to 90°:
2θ (°)	I_rel
23.29	100
27.67	25
20.49	23
32.22	14
36.06	12
35.41	11
47.66	11
37.93	10
56.27	8
36.57	7